(1)
Computed PXRD pattern of Sr2ZrTcN6 for a wavelength of 1.5418 Å, from a DFT-relaxed cell (PBE, OQMD).
Neutral-atom scattering factors, no anomalous dispersion.

Top 10 peaks for 2θ = 10–90°, sorted by position:
2θ = 30.78°, I = 100; 2θ = 44.09°, I = 31; 2θ = 54.65°, I = 13; 2θ = 54.77°, I = 26; 2θ = 64.05°, I = 9; 2θ = 64.19°, I = 9; 2θ = 72.74°, I = 7; 2θ = 72.84°, I = 9; 2θ = 89.25°, I = 6; 2θ = 89.34°, I = 6

Structural model:
Cell lengths 5.800, 5.806, 5.811 Å; angles 60.12, 60.14, 60.03 degrees
Fractional positions:
Sr  0.249  0.250  0.250
Sr  0.751  0.750  0.750
Zr  0.000  0.000  0.000
Tc  0.500  0.500  0.500
N  0.256  0.743  0.735
N  0.259  0.264  0.736
N  0.269  0.737  0.254
N  0.731  0.263  0.746
N  0.741  0.736  0.264
N  0.744  0.257  0.265


(2)
Computed PXRD pattern of Ta7N2 for a wavelength of 1.5418 Å, from a DFT-relaxed cell (PBE, OQMD).
Neutral-atom scattering factors, no anomalous dispersion.

Top 10 peaks for 2θ = 10–90°, sorted by position:
2θ = 30.90°, I = 20; 2θ = 34.55°, I = 27; 2θ = 35.84°, I = 31; 2θ = 36.23°, I = 26; 2θ = 36.65°, I = 100; 2θ = 37.99°, I = 40; 2θ = 38.28°, I = 23; 2θ = 42.48°, I = 45; 2θ = 58.86°, I = 20; 2θ = 69.09°, I = 23

Structural model:
Cell lengths 5.764, 5.764, 5.789 Å; angles 119.29, 119.29, 65.99 degrees
Fractional positions:
Ta  0.000  0.000  0.000
Ta  0.027  0.576  0.294
Ta  0.424  0.973  0.706
Ta  0.483  0.483  0.762
Ta  0.517  0.517  0.238
Ta  0.576  0.027  0.294
Ta  0.973  0.424  0.706
N  0.236  0.236  0.023
N  0.764  0.764  0.977


(3)
Computed PXRD pattern of Ta2N3 for a wavelength of 1.5418 Å, from a DFT-relaxed cell (PBE, OQMD).
Neutral-atom scattering factors, no anomalous dispersion.

Top 10 peaks for 2θ = 10–90°, sorted by position:
2θ = 22.27°, I = 14; 2θ = 31.70°, I = 100; 2θ = 36.77°, I = 38; 2θ = 39.08°, I = 9; 2θ = 47.41°, I = 11; 2θ = 52.98°, I = 31; 2θ = 58.16°, I = 6; 2θ = 63.07°, I = 26; 2θ = 64.65°, I = 6; 2θ = 86.84°, I = 6

Structural model:
Cell lengths 8.468, 8.468, 8.468 Å; angles 109.47, 109.47, 109.47 degrees
Fractional positions:
Ta  0.000  0.000  0.500
Ta  0.000  0.500  0.000
Ta  0.040  0.750  0.790
Ta  0.210  0.960  0.250
Ta  0.250  0.210  0.960
Ta  0.250  0.710  0.460
Ta  0.290  0.540  0.750
Ta  0.460  0.250  0.710
Ta  0.500  0.000  0.000
Ta  0.500  0.500  0.500
Ta  0.540  0.750  0.290
Ta  0.710  0.460  0.250
Ta  0.750  0.290  0.540
Ta  0.750  0.790  0.040
Ta  0.790  0.040  0.750
Ta  0.960  0.250  0.210
N  0.017  0.052  0.275
N  0.035  0.483  0.759
N  0.052  0.275  0.017
N  0.223  0.448  0.465
N  0.225  0.277  0.741
N  0.241  0.965  0.517
N  0.259  0.775  0.723
N  0.275  0.017  0.052
N  0.277  0.741  0.225
N  0.448  0.465  0.223
N  0.465  0.223  0.448
N  0.483  0.759  0.035
N  0.517  0.241  0.965
N  0.535  0.777  0.552
N  0.552  0.535  0.777
N  0.723  0.259  0.775
N  0.725  0.983  0.948
N  0.741  0.225  0.277
N  0.759  0.035  0.483
N  0.775  0.723  0.259
N  0.777  0.552  0.535
N  0.948  0.725  0.983
N  0.965  0.517  0.241
N  0.983  0.948  0.725


(4)
Computed PXRD pattern of Ta3TlN5 for a wavelength of 1.5418 Å, from a DFT-relaxed cell (PBE, OQMD).
Neutral-atom scattering factors, no anomalous dispersion.

Top 10 peaks for 2θ = 10–90°, sorted by position:
2θ = 14.74°, I = 51; 2θ = 24.05°, I = 100; 2θ = 29.73°, I = 35; 2θ = 36.35°, I = 33; 2θ = 38.33°, I = 58; 2θ = 41.28°, I = 22; 2θ = 49.25°, I = 65; 2θ = 53.86°, I = 23; 2θ = 75.05°, I = 17; 2θ = 77.20°, I = 15

Structural model:
Cell lengths 5.423, 5.423, 6.011 Å; angles 90.00, 90.00, 120.00 degrees
Fractional positions:
Ta  0.000  0.500  0.000
Ta  0.500  0.000  0.000
Ta  0.500  0.500  0.000
Tl  0.000  0.000  0.500
N  0.000  0.000  0.000
N  0.333  0.667  0.224
N  0.333  0.667  0.776
N  0.667  0.333  0.224
N  0.667  0.333  0.776